[1]
# K3Pd3Pb8
Calculated powder diffraction line list, Cu Kα (weighted mean of Kα1 and Kα2). Input: a PBE-relaxed structure.
Intensities are scaled so that the largest is 100.

Largest 10 diffraction maxima, sorted by position, 10 to 90 degrees two-theta:
17.44°, I 50, hkl 2 0 -2
30.17°, I 97, hkl 1 1 2
30.43°, I 62, hkl 5 1 -2
33.75°, I 64, hkl 5 1 -3
34.10°, I 100, hkl 0 2 0
35.93°, I 55, hkl 6 0 0
39.54°, I 53, hkl 1 1 3
39.76°, I 51, hkl 3 1 -4
39.91°, I 51, hkl 7 1 -3
50.37°, I 50, hkl 6 2 0

Structure:
```
data_K3Pd3Pb8
_cell_length_a 18.028
_cell_length_b 5.259
_cell_length_c 10.173
_cell_angle_alpha 90.00
_cell_angle_beta 123.71
_cell_angle_gamma 90.00
_space_group_name_H-M_alt 'C 1 2/m 1'
_space_group_IT_number 12
loop_
_space_group_symop_operation_xyz
'x,y,z'
'-x,-y,-z'
'-x,y,-z'
'x,-y,z'
'x+1/2,y+1/2,z'
'-x+1/2,-y+1/2,-z'
'-x+1/2,y+1/2,-z'
'x+1/2,-y+1/2,z'
loop_
_atom_site_label
_atom_site_type_symbol
_atom_site_fract_x
_atom_site_fract_y
_atom_site_fract_z
_atom_site_occupancy
K1 K 0.000 0.000 0.000 1
K2 K 0.215 0.500 0.712 1
Pd1 Pd 0.000 0.000 0.500 1
Pd2 Pd 0.156 0.500 0.988 1
Pb1 Pb 0.006 0.500 0.671 1
Pb2 Pb 0.142 0.000 0.440 1
Pb3 Pb 0.149 0.500 0.253 1
Pb4 Pb 0.155 0.000 0.867 1
```

---

[2]
# K2Pd4Pb5
Calculated powder diffraction line list, Cu Kα (weighted mean of Kα1 and Kα2). Input: a PBE-relaxed structure.
Intensities are scaled so that the largest is 100.

Largest 10 diffraction maxima, sorted by position, 10 to 90 degrees two-theta:
13.54°, I 77, hkl 0 0 1
14.28°, I 100, hkl 1 1 0
28.78°, I 46, hkl 2 2 0
29.64°, I 91, hkl 2 0 1
30.28°, I 35, hkl 2 2 -2
34.22°, I 42, hkl 1 3 -1
36.90°, I 47, hkl 4 2 -2
38.30°, I 33, hkl 4 2 -1
39.31°, I 45, hkl 2 2 -3
43.78°, I 42, hkl 0 4 0

Structure:
```
data_K2Pd4Pb5
_cell_length_a 12.130
_cell_length_b 8.271
_cell_length_c 8.455
_cell_angle_alpha 90.00
_cell_angle_beta 129.33
_cell_angle_gamma 90.00
_space_group_name_H-M_alt 'C 1 2/m 1'
_space_group_IT_number 12
loop_
_space_group_symop_operation_xyz
'x,y,z'
'-x,-y,-z'
'-x,y,-z'
'x,-y,z'
'x+1/2,y+1/2,z'
'-x+1/2,-y+1/2,-z'
'-x+1/2,y+1/2,-z'
'x+1/2,-y+1/2,z'
loop_
_atom_site_label
_atom_site_type_symbol
_atom_site_fract_x
_atom_site_fract_y
_atom_site_fract_z
_atom_site_occupancy
K1 K 0.087 0.000 0.338 1
Pd1 Pd 0.041 0.500 0.215 1
Pd2 Pd 0.240 0.500 0.915 1
Pb1 Pb 0.000 0.500 0.500 1
Pb2 Pb 0.189 0.300 0.135 1
```

---

[3]
# KPd4Pb12
Calculated powder diffraction line list, Cu Kα (weighted mean of Kα1 and Kα2). Input: a PBE-relaxed structure.
Intensities are scaled so that the largest is 100.

Largest 10 diffraction maxima, sorted by position, 10 to 90 degrees two-theta:
28.38°, I 100, hkl 3 0 1
33.73°, I 36, hkl 3 1 2
40.58°, I 23, hkl 4 0 2
42.65°, I 12, hkl 3 3 2
44.65°, I 19, hkl 4 2 2
46.57°, I 25, hkl 4 3 1
53.75°, I 17, hkl 5 3 0
55.44°, I 10, hkl 6 0 0
63.45°, I 21, hkl 6 1 3
82.28°, I 14, hkl 6 6 0

Structure:
```
data_KPd4Pb12
_cell_length_a 9.943
_cell_length_b 9.943
_cell_length_c 9.943
_cell_angle_alpha 90.00
_cell_angle_beta 90.00
_cell_angle_gamma 90.00
_space_group_name_H-M_alt 'I m -3'
_space_group_IT_number 204
_space_group_name_Hall '-I 2 2 3'
loop_
_atom_site_label
_atom_site_type_symbol
_atom_site_fract_x
_atom_site_fract_y
_atom_site_fract_z
_atom_site_occupancy
K1 K 0.000 0.000 0.000 1
Pd1 Pd 0.250 0.250 0.250 1
Pb1 Pb 0.000 0.341 0.163 1
```

---

[4]
# KPd2Pb8
Calculated powder diffraction line list, Cu Kα (weighted mean of Kα1 and Kα2). Input: a PBE-relaxed structure.
Intensities are scaled so that the largest is 100.

Largest 10 diffraction maxima, sorted by position, 10 to 90 degrees two-theta:
19.70°, I 32, hkl 0 0 2
26.49°, I 91, hkl 2 0 0
29.73°, I 35, hkl 0 0 3
33.23°, I 99, hkl 2 0 2
37.81°, I 70, hkl 2 2 0
39.16°, I 26, hkl 2 2 1
40.24°, I 100, hkl 2 0 3
48.82°, I 37, hkl 2 2 3
65.38°, I 28, hkl 4 2 2
69.91°, I 41, hkl 4 2 3

Structure:
```
data_KPd2Pb8
_cell_length_a 6.730
_cell_length_b 6.730
_cell_length_c 9.014
_cell_angle_alpha 90.00
_cell_angle_beta 90.00
_cell_angle_gamma 90.00
_space_group_name_H-M_alt 'P 4/m m m'
_space_group_IT_number 123
_space_group_name_Hall '-P 4 2'
loop_
_atom_site_label
_atom_site_type_symbol
_atom_site_fract_x
_atom_site_fract_y
_atom_site_fract_z
_atom_site_occupancy
K1 K 0.000 0.000 0.000 1
Pd1 Pd 0.000 0.500 0.500 1
Pb1 Pb 0.253 0.253 0.317 1
```

---

[5]
# KSnPdPb
Calculated powder diffraction line list, Cu Kα (weighted mean of Kα1 and Kα2). Input: a PBE-relaxed structure.
Intensities are scaled so that the largest is 100.

Largest 10 diffraction maxima, sorted by position, 10 to 90 degrees two-theta:
12.92°, I 100, hkl 0 0 3
22.94°, I 21, hkl 1 0 1
24.15°, I 16, hkl 0 1 2
28.51°, I 43, hkl 1 0 4
31.42°, I 88, hkl 0 1 5
39.53°, I 70, hkl 1 1 0
41.76°, I 36, hkl 1 1 3
41.96°, I 33, hkl 0 1 8
51.34°, I 22, hkl 2 0 5
66.68°, I 20, hkl 1 2 5

Structure:
```
data_KSnPdPb
_cell_length_a 4.5591
_cell_length_b 4.5591
_cell_length_c 20.5505
_cell_angle_alpha 90.00
_cell_angle_beta 90.00
_cell_angle_gamma 120.00
_space_group_name_H-M_alt 'R 3 m'
_space_group_IT_number 160
_space_group_name_Hall 'R 3 -2"'
loop_
_atom_site_label
_atom_site_type_symbol
_atom_site_fract_x
_atom_site_fract_y
_atom_site_fract_z
_atom_site_occupancy
K1 K 0.0000 0.0000 0.0000 1
Sn1 Sn 0.0000 0.0000 0.5506 1
Pd1 Pd 0.0000 0.0000 0.1844 1
Pb1 Pb 0.0000 0.0000 0.7892 1
```

---

[6]
# KPm6Pb4
Calculated powder diffraction line list, Cu Kα (weighted mean of Kα1 and Kα2). Input: a PBE-relaxed structure.
Intensities are scaled so that the largest is 100.

Largest 10 diffraction maxima, sorted by position, 10 to 90 degrees two-theta:
10.26°, I 20, hkl 1 0 0
20.60°, I 24, hkl 2 0 0
26.90°, I 34, hkl 1 1 1
27.37°, I 21, hkl 2 1 0
28.86°, I 81, hkl 2 0 1
34.12°, I 100, hkl 2 1 1
36.09°, I 62, hkl 2 2 0
40.61°, I 26, hkl 0 0 2
55.44°, I 40, hkl 2 2 2
57.32°, I 28, hkl 5 0 1

Structure:
```
data_KPm6Pb4
_cell_length_a 9.9550
_cell_length_b 9.9550
_cell_length_c 4.4430
_cell_angle_alpha 90.00
_cell_angle_beta 90.00
_cell_angle_gamma 120.00
_space_group_name_H-M_alt 'P -6 m 2'
_space_group_IT_number 187
_space_group_name_Hall 'P -6 2'
loop_
_atom_site_label
_atom_site_type_symbol
_atom_site_fract_x
_atom_site_fract_y
_atom_site_fract_z
_atom_site_occupancy
K1 K 0.0000 0.0000 0.0000 1
Pm1 Pm 0.1956 0.3912 0.5000 1
Pm2 Pm 0.5372 0.0744 0.0000 1
Pb1 Pb 0.3333 0.6667 0.0000 1
Pb2 Pb 0.3531 0.1766 0.5000 1
```

---

[7]
# KPt2Pb2
Calculated powder diffraction line list, Cu Kα (weighted mean of Kα1 and Kα2). Input: a PBE-relaxed structure.
Intensities are scaled so that the largest is 100.

Largest 10 diffraction maxima, sorted by position, 10 to 90 degrees two-theta:
15.46°, I 100, hkl 2 0 0
28.92°, I 38, hkl 1 1 1
30.53°, I 36, hkl 3 1 0
31.06°, I 40, hkl 4 0 -1
38.82°, I 46, hkl 3 1 1
39.52°, I 85, hkl 0 2 0
41.66°, I 22, hkl 3 1 -2
43.60°, I 21, hkl 1 1 2
51.14°, I 20, hkl 4 2 -1
57.56°, I 26, hkl 7 1 -1

Structure:
```
data_KPt2Pb2
_cell_length_a 11.985
_cell_length_b 4.555
_cell_length_c 5.289
_cell_angle_alpha 90.00
_cell_angle_beta 106.91
_cell_angle_gamma 90.00
_space_group_name_H-M_alt 'C 1 2/m 1'
_space_group_IT_number 12
loop_
_space_group_symop_operation_xyz
'x,y,z'
'-x,-y,-z'
'-x,y,-z'
'x,-y,z'
'x+1/2,y+1/2,z'
'-x+1/2,-y+1/2,-z'
'-x+1/2,y+1/2,-z'
'x+1/2,-y+1/2,z'
loop_
_atom_site_label
_atom_site_type_symbol
_atom_site_fract_x
_atom_site_fract_y
_atom_site_fract_z
_atom_site_occupancy
K1 K 0.000 0.000 0.000 1
Pt1 Pt 0.249 0.500 0.151 1
Pb1 Pb 0.149 0.500 0.576 1
```

---

[8]
# K2Pt3Pb4
Calculated powder diffraction line list, Cu Kα (weighted mean of Kα1 and Kα2). Input: a PBE-relaxed structure.
Intensities are scaled so that the largest is 100.

Largest 10 diffraction maxima, sorted by position, 10 to 90 degrees two-theta:
12.00°, I 28, hkl 0 0 2
16.59°, I 35, hkl 0 2 0
17.97°, I 60, hkl 1 1 1
29.75°, I 34, hkl 2 0 0
34.48°, I 100, hkl 1 3 3
36.40°, I 43, hkl 2 2 2
36.54°, I 32, hkl 0 0 6
38.64°, I 28, hkl 2 0 4
42.32°, I 36, hkl 2 2 4
55.87°, I 26, hkl 3 3 3

Structure:
```
data_K2Pt3Pb4
_cell_length_a 6.011
_cell_length_b 10.687
_cell_length_c 14.754
_cell_angle_alpha 90.00
_cell_angle_beta 90.00
_cell_angle_gamma 90.00
_space_group_name_H-M_alt 'F m m m'
_space_group_IT_number 69
_space_group_name_Hall '-F 2 2'
loop_
_atom_site_label
_atom_site_type_symbol
_atom_site_fract_x
_atom_site_fract_y
_atom_site_fract_z
_atom_site_occupancy
K1 K 0.000 0.000 0.114 1
Pt1 Pt 0.000 0.000 0.500 1
Pt2 Pt 0.250 0.250 0.000 1
Pb1 Pb 0.000 0.166 0.347 1
```